[1]
Calculated X-ray diffraction stick pattern
Compound: BaSr2I6
Radiation: λ = 1.5418 Å (Cu Kα)
Structure: a cell relaxed with GGA-PBE
Peak positions follow from Bragg's law for the DFT cell and can differ from measured ones.

Cell and atoms:
```
BaSr2I6
1.0
12.288 -4.086 0.000
12.288 4.086 0.000
0.000 0.000 8.166
Ba Sr I
2 4 12
Direct
0.000 0.000 0.000
0.500 0.500 0.500
0.168 0.168 0.500
0.332 0.332 0.000
0.668 0.668 0.000
0.832 0.832 0.500
0.017 0.483 0.750
0.160 0.666 0.749
0.166 0.660 0.249
0.334 0.840 0.749
0.340 0.834 0.249
0.483 0.017 0.250
0.517 0.983 0.750
0.660 0.166 0.751
0.666 0.160 0.251
0.834 0.340 0.751
0.840 0.334 0.251
0.983 0.517 0.250
```

Peak list (10 most intense, 2θ from 15° to 90°, by angle)
Position (°2θ), d (Å), Rel. int.
18.8, 4.721, 19.6
21.7, 4.088, 21.6
30.9, 2.891, 100.0
36.4, 2.465, 11.0
44.4, 2.042, 12.2
55.0, 1.669, 37.3
64.4, 1.446, 7.6
73.3, 1.292, 10.5
89.7, 1.093, 9.2
89.8, 1.092, 9.7



[2]
Calculated X-ray diffraction stick pattern
Compound: BaSr2I6
Radiation: λ = 1.5418 Å (Cu Kα)
Structure: a cell relaxed with GGA-PBE
Peak positions follow from Bragg's law for the DFT cell and can differ from measured ones.

Cell and atoms:
```
BaSr2I6
1.0
13.149 -3.953 0.000
13.149 3.953 0.000
-0.849 0.000 8.935
Ba Sr I
2 4 12
Direct
0.234 0.766 0.750
0.766 0.234 0.250
0.103 0.554 0.365
0.446 0.897 0.135
0.554 0.103 0.865
0.897 0.446 0.635
0.003 0.132 0.577
0.132 0.003 0.077
0.173 0.260 0.359
0.260 0.173 0.859
0.380 0.408 0.124
0.408 0.380 0.624
0.592 0.620 0.376
0.620 0.592 0.876
0.740 0.827 0.141
0.827 0.740 0.641
0.868 0.997 0.923
0.997 0.868 0.423
```

Peak list (10 most intense, 2θ from 15° to 90°, by angle)
Position (°2θ), d (Å), Rel. int.
15.1, 5.855, 30.5
17.6, 5.049, 30.6
20.3, 4.365, 43.6
24.3, 3.667, 100.0
25.8, 3.449, 77.6
26.4, 3.381, 42.7
30.5, 2.930, 59.8
31.4, 2.849, 40.6
35.5, 2.528, 28.3
38.2, 2.357, 35.1



[3]
Calculated X-ray diffraction stick pattern
Compound: BaSr2I6
Radiation: λ = 1.5418 Å (Cu Kα)
Structure: a cell relaxed with GGA-PBE
Peak positions follow from Bragg's law for the DFT cell and can differ from measured ones.

Cell and atoms:
```
BaSr2I6
1.0
9.988 0.000 0.000
0.000 9.981 0.000
-8.259 0.000 16.251
Ba Sr I
4 8 24
Direct
0.086 0.190 0.415
0.086 0.310 0.915
0.914 0.690 0.085
0.914 0.810 0.585
0.312 0.664 0.419
0.312 0.836 0.919
0.374 0.040 0.243
0.374 0.460 0.743
0.626 0.540 0.257
0.626 0.960 0.757
0.688 0.164 0.081
0.688 0.336 0.581
0.035 0.019 0.226
0.035 0.481 0.726
0.050 0.654 0.937
0.050 0.846 0.437
0.227 0.029 0.043
0.227 0.471 0.543
0.307 0.694 0.224
0.307 0.806 0.724
0.386 0.170 0.878
0.386 0.330 0.378
0.444 0.094 0.578
0.444 0.406 0.078
0.556 0.594 0.922
0.556 0.906 0.422
0.614 0.670 0.622
0.614 0.830 0.122
0.693 0.194 0.276
0.693 0.306 0.776
0.773 0.529 0.457
0.773 0.971 0.957
0.950 0.154 0.563
0.950 0.346 0.063
0.965 0.519 0.274
0.965 0.981 0.774
```

Peak list (10 most intense, 2θ from 15° to 90°, by angle)
Position (°2θ), d (Å), Rel. int.
24.7, 3.609, 54.3
25.3, 3.524, 63.6
26.1, 3.410, 29.2
26.3, 3.388, 35.8
26.5, 3.365, 31.5
26.9, 3.314, 32.6
28.3, 3.154, 100.0
29.4, 3.034, 34.2
32.5, 2.751, 40.4
33.1, 2.707, 46.0



[4]
Calculated X-ray diffraction stick pattern
Compound: BaSr2I6
Radiation: λ = 1.5418 Å (Cu Kα)
Structure: a cell relaxed with GGA-PBE
Peak positions follow from Bragg's law for the DFT cell and can differ from measured ones.

Cell and atoms:
```
BaSr2I6
1.0
14.478 0.000 0.000
-7.239 12.539 0.000
0.000 0.000 7.531
Ba Sr I
3 6 18
Direct
0.000 0.000 0.000
0.333 0.667 0.494
0.667 0.333 0.506
0.000 0.311 0.500
0.000 0.645 0.000
0.311 0.000 0.500
0.355 0.355 0.000
0.645 0.000 0.000
0.689 0.689 0.500
0.095 0.864 0.749
0.106 0.530 0.752
0.136 0.230 0.749
0.215 0.436 0.243
0.221 0.785 0.243
0.230 0.136 0.251
0.425 0.894 0.752
0.436 0.215 0.757
0.470 0.575 0.752
0.530 0.106 0.248
0.564 0.779 0.243
0.575 0.470 0.248
0.770 0.905 0.749
0.779 0.564 0.757
0.785 0.221 0.757
0.864 0.095 0.251
0.894 0.425 0.248
0.905 0.770 0.251
```

Peak list (10 most intense, 2θ from 15° to 90°, by angle)
Position (°2θ), d (Å), Rel. int.
17.0, 5.219, 14.5
24.4, 3.654, 100.0
32.0, 2.798, 54.2
37.3, 2.413, 36.5
42.0, 2.152, 22.9
45.0, 2.014, 14.1
49.9, 1.827, 12.5
59.8, 1.546, 9.6
62.6, 1.484, 15.5
63.9, 1.457, 9.8



[5]
Calculated X-ray diffraction stick pattern
Compound: BaUI6
Radiation: λ = 1.5418 Å (Cu Kα)
Structure: a cell relaxed with GGA-PBE
Peak positions follow from Bragg's law for the DFT cell and can differ from measured ones.

Cell and atoms:
```
BaUI6
1.0
4.179 -7.293 0.000
4.179 7.293 0.000
-3.000 0.000 15.058
Ba U I
2 2 12
Direct
0.082 0.918 0.500
0.918 0.082 0.000
0.411 0.585 0.502
0.585 0.411 0.002
0.062 0.251 0.390
0.176 0.641 0.625
0.251 0.062 0.890
0.337 0.452 0.121
0.363 0.824 0.379
0.452 0.337 0.621
0.537 0.659 0.886
0.641 0.176 0.125
0.659 0.537 0.386
0.751 0.921 0.619
0.824 0.363 0.879
0.921 0.751 0.119
```

Peak list (10 most intense, 2θ from 15° to 90°, by angle)
Position (°2θ), d (Å), Rel. int.
21.5, 4.137, 13.4
22.6, 3.932, 23.6
26.3, 3.383, 100.0
26.7, 3.337, 47.9
37.0, 2.431, 16.5
37.2, 2.417, 33.2
38.2, 2.355, 21.9
38.5, 2.336, 34.6
39.0, 2.311, 13.8
46.2, 1.965, 15.4



[6]
Calculated X-ray diffraction stick pattern
Compound: Ba2YI7
Radiation: λ = 1.5418 Å (Cu Kα)
Structure: a cell relaxed with GGA-PBE
Peak positions follow from Bragg's law for the DFT cell and can differ from measured ones.

Cell and atoms:
```
Ba2YI7
1.0
14.959 0.000 0.000
0.000 8.743 0.000
0.000 0.000 16.302
Ba Y I
8 4 28
Direct
0.236 0.250 0.039
0.247 0.750 0.239
0.253 0.250 0.739
0.264 0.750 0.539
0.736 0.250 0.461
0.747 0.750 0.261
0.753 0.250 0.761
0.764 0.750 0.961
0.062 0.750 0.788
0.438 0.250 0.288
0.562 0.750 0.712
0.938 0.250 0.212
0.087 0.023 0.157
0.087 0.477 0.157
0.103 0.750 0.395
0.107 0.526 0.648
0.107 0.974 0.648
0.181 0.529 0.884
0.181 0.971 0.884
0.319 0.029 0.384
0.319 0.471 0.384
0.393 0.026 0.148
0.393 0.474 0.148
0.397 0.250 0.895
0.413 0.523 0.657
0.413 0.977 0.657
0.587 0.023 0.343
0.587 0.477 0.343
0.603 0.750 0.105
0.607 0.526 0.852
0.607 0.974 0.852
0.681 0.529 0.616
0.681 0.971 0.616
0.819 0.029 0.116
0.819 0.471 0.116
0.893 0.026 0.352
0.893 0.474 0.352
0.897 0.250 0.605
0.913 0.523 0.843
0.913 0.977 0.843
```

Peak list (10 most intense, 2θ from 15° to 90°, by angle)
Position (°2θ), d (Å), Rel. int.
15.6, 5.683, 20.2
16.0, 5.533, 26.3
21.8, 4.073, 30.4
22.6, 3.928, 41.3
28.8, 3.100, 25.8
29.3, 3.049, 100.0
30.0, 2.981, 49.7
31.5, 2.842, 23.0
32.5, 2.755, 28.2
41.3, 2.186, 21.7